[1]
# KRb3Au4
Computed XRD peak list, CuKα. Input: DFT lattice parameters and positions (GGA-PBE).
Kinematic intensities with the Lorentz-polarization factor, no thermal factor.

Crystal structure
abc: 4.132 5.840 11.666
angles: 90.00 90.00 90.00
Space group Pmmm (No. 47)
Unique sites:
K  0.000  0.000  0.000 (multiplicity 1)
Rb  0.000  0.000  0.500 (multiplicity 1)
Rb  0.000  0.500  0.248 (multiplicity 2)
Au  0.500  0.000  0.241 (multiplicity 2)
Au  0.500  0.500  0.000 (multiplicity 1)
Au  0.500  0.500  0.500 (multiplicity 1)

Peak list (8 most intense, 2θ = 10–80°, low angle first)
2theta  I (rel.)
21.52  23
30.62  100
37.74  8
43.86  19
49.36  11
54.43  39
63.76  12
72.37  14

---

[2]
# NiB2Cl8
Computed XRD peak list, CuKα. Input: DFT lattice parameters and positions (GGA-PBE).
Kinematic intensities with the Lorentz-polarization factor, no thermal factor.

Crystal structure
abc: 10.999 9.246 6.395
angles: 90.00 95.82 90.00
Space group C2/m (No. 12)
Unique sites:
Ni  0.000  0.000  0.000 (multiplicity 2)
B  0.217  0.000  0.309 (multiplicity 4)
Cl  0.117  0.157  0.177 (multiplicity 8)
Cl  0.134  0.500  0.779 (multiplicity 4)
Cl  0.212  0.000  0.588 (multiplicity 4)

Peak list (8 most intense, 2θ = 10–80°, low angle first)
2theta  I (rel.)
12.53  98
18.15  100
19.20  59
20.31  55
28.62  64
29.73  80
30.05  51
45.45  39

---

[3]
# Pu12Ge5Bi
Computed XRD peak list, CuKα. Input: DFT lattice parameters and positions (GGA-PBE).
Kinematic intensities with the Lorentz-polarization factor, no thermal factor.

Crystal structure
abc: 8.868 9.323 10.932
angles: 90.00 90.00 90.00
Space group Immm (No. 71)
Unique sites:
Pu  0.000  0.218  0.183 (multiplicity 8)
Pu  0.183  0.229  0.500 (multiplicity 8)
Pu  0.200  0.500  0.264 (multiplicity 8)
Ge  0.000  0.000  0.374 (multiplicity 4)
Ge  0.000  0.500  0.500 (multiplicity 2)
Ge  0.141  0.000  0.000 (multiplicity 4)
Bi  0.000  0.500  0.000 (multiplicity 2)

Peak list (8 most intense, 2θ = 10–80°, low angle first)
2theta  I (rel.)
31.35  17
32.32  100
32.78  73
35.86  32
36.94  24
38.65  41
61.16  18
61.45  15

---

What did the first record say?
# KRb3Au4
Computed XRD peak list, CuKα. Input: DFT lattice parameters and positions (GGA-PBE).
Kinematic intensities with the Lorentz-polarization factor, no thermal factor.

Crystal structure
abc: 4.132 5.840 11.666
angles: 90.00 90.00 90.00
Space group Pmmm (No. 47)
Unique sites:
K  0.000  0.000  0.000 (multiplicity 1)
Rb  0.000  0.000  0.500 (multiplicity 1)
Rb  0.000  0.500  0.248 (multiplicity 2)
Au  0.500  0.000  0.241 (multiplicity 2)
Au  0.500  0.500  0.000 (multiplicity 1)
Au  0.500  0.500  0.500 (multiplicity 1)

Peak list (8 most intense, 2θ = 10–80°, low angle first)
2theta  I (rel.)
21.52  23
30.62  100
37.74  8
43.86  19
49.36  11
54.43  39
63.76  12
72.37  14